Entry 1:
Diffraction record for ScFeH5. The powder X-ray diffraction pattern is theoretical, not measured: it uses a PBE-relaxed structure and Cu Ka.

Main lines, by angle (2θ from 10° to 90°):
2theta, d/Å, I (rel.)
25.48, 3.496, 96
32.03, 2.794, 100
37.32, 2.409, 34
41.37, 2.183, 86
45.74, 1.984, 33
62.70, 1.482, 24

Structure:
```
ScFeH5
1.0
-2.4094 3.4955 1.7151
2.4094 -3.4955 1.7151
2.4094 3.4955 -1.7151
Sc Fe H
1 1 5
direct
0.0000 0.0000 0.0000
0.4962 0.9962 0.5000
0.2676 0.9897 0.2779
0.4995 0.3171 0.8176
0.4995 0.6819 0.1824
0.7119 0.9897 0.7221
0.9965 0.4965 0.5000
```



Entry 2:
Diffraction record for Sc2Fe2H. The powder X-ray diffraction pattern is theoretical, not measured: it uses a PBE-relaxed structure and Cu Ka.

Main lines, by angle (2θ from 10° to 90°):
2theta, d/Å, I (rel.)
23.38, 3.805, 17
30.81, 2.902, 58
35.64, 2.519, 100
47.81, 1.902, 63
51.28, 1.781, 32
61.03, 1.518, 28

Structure:
```
Sc2Fe2H
1.0
-2.5194 2.5194 2.9021
2.5194 -2.5194 2.9021
2.5194 2.5194 -2.9021
Sc Fe H
2 2 1
direct
0.2500 0.7500 0.5000
0.7500 0.2500 0.5000
0.2003 0.2003 0.0000
0.7997 0.7997 0.0000
0.5000 0.5000 0.0000
```



Entry 3:
Diffraction record for Ta2FeSiH. The powder X-ray diffraction pattern is theoretical, not measured: it uses a PBE-relaxed structure and Cu Ka.

Main lines, by angle (2θ from 10° to 90°):
2theta, d/Å, I (rel.)
23.91, 3.721, 33
30.92, 2.892, 35
39.46, 2.284, 100
44.29, 2.045, 36
68.13, 1.376, 20
78.25, 1.222, 27

Structure:
```
Ta2FeSiH
1.0
4.0901 0.0000 0.0000
0.0000 4.0901 0.0000
0.0000 0.0000 3.7213
Ta Fe Si H
2 1 1 1
direct
0.0000 0.5000 0.0000
0.5000 0.0000 0.0000
0.0000 0.0000 0.5000
0.5000 0.5000 0.5000
0.0000 0.0000 0.0000
```



Entry 4:
Diffraction record for FeSnH. The powder X-ray diffraction pattern is theoretical, not measured: it uses a PBE-relaxed structure and Cu Ka.

Main lines, by angle (2θ from 10° to 90°):
2theta, d/Å, I (rel.)
29.76, 3.002, 24
30.57, 2.925, 86
34.68, 2.586, 56
39.56, 2.278, 36
41.68, 2.167, 77
44.45, 2.038, 100

Structure:
```
FeSnH
1.0
4.7766 -1.5441 0.0000
4.7766 1.5441 0.0000
-1.6268 0.0000 5.1729
Fe Sn H
2 2 2
direct
0.1692 0.1692 0.3133
0.8308 0.8308 0.6867
0.1230 0.1230 0.7831
0.8770 0.8770 0.2169
0.4044 0.4044 0.7479
0.5956 0.5956 0.2521
```



Entry 5:
Diffraction record for Ta2FeH. The powder X-ray diffraction pattern is theoretical, not measured: it uses a PBE-relaxed structure and Cu Ka.

Main lines, by angle (2θ from 10° to 90°):
2theta, d/Å, I (rel.)
26.37, 3.379, 32
36.47, 2.464, 71
39.70, 2.271, 100
40.02, 2.253, 28
41.98, 2.152, 35
63.44, 1.466, 30

Structure:
```
Ta2FeH
1.0
1.4663 0.8466 6.7586
-1.4663 0.8466 6.7586
0.0000 -1.6931 6.7586
Ta Fe H
2 1 1
direct
0.2324 0.2324 0.2324
0.7676 0.7676 0.7676
0.0000 0.0000 0.0000
0.5000 0.5000 0.5000
```



Entry 6:
Diffraction record for TaFeH4. The powder X-ray diffraction pattern is theoretical, not measured: it uses a PBE-relaxed structure and Cu Ka.

Main lines, by angle (2θ from 10° to 90°):
2theta, d/Å, I (rel.)
22.08, 4.025, 52
31.98, 2.799, 87
38.52, 2.337, 100
39.21, 2.298, 26
45.85, 1.979, 31
61.39, 1.510, 51

Structure:
```
TaFeH4
1.0
-2.7987 2.7987 2.8962
2.7987 -2.7987 2.8962
2.7987 2.7987 -2.8962
Ta Fe H
2 2 8
direct
0.0000 0.0000 0.0000
0.7500 0.2500 0.5000
0.2746 0.7746 0.5000
0.5246 0.5246 0.0000
0.0265 0.3575 0.3310
0.0265 0.6955 0.6690
0.1075 0.2765 0.8310
0.4455 0.2765 0.1690
0.4788 0.1789 0.7000
0.4788 0.7788 0.3000
0.5288 0.7288 0.8000
0.9289 0.7288 0.2000
```



Entry 7:
Diffraction record for Ta2FeH2. The powder X-ray diffraction pattern is theoretical, not measured: it uses a PBE-relaxed structure and Cu Ka.

Main lines, by angle (2θ from 10° to 90°):
2theta, d/Å, I (rel.)
30.72, 2.910, 71
37.86, 2.376, 100
42.49, 2.128, 50
53.37, 1.717, 26
70.47, 1.336, 20
74.67, 1.271, 27

Structure:
```
Ta2FeH2
1.0
-1.5044 1.5044 5.8122
1.5044 -1.5044 5.8122
1.5044 1.5044 -5.8122
Ta Fe H
2 1 2
direct
0.1348 0.1348 0.0000
0.8652 0.8652 0.0000
0.5000 0.5000 0.0000
0.2500 0.7500 0.5000
0.7500 0.2500 0.5000
```



Entry 8:
Diffraction record for TaFe4H4. The powder X-ray diffraction pattern is theoretical, not measured: it uses a PBE-relaxed structure and Cu Ka.

Main lines, by angle (2θ from 10° to 90°):
2theta, d/Å, I (rel.)
24.11, 3.692, 53
36.61, 2.454, 60
37.63, 2.390, 41
39.47, 2.283, 32
41.62, 2.170, 100
42.80, 2.113, 69

Structure:
```
TaFe4H4
1.0
3.7937 -3.8906 0.0000
3.7937 3.8906 0.0000
0.0000 0.0000 5.0319
Ta Fe H
2 8 8
direct
0.1806 0.8194 0.7500
0.8194 0.1806 0.2500
0.0618 0.6110 0.2500
0.3334 0.3334 0.0000
0.3334 0.3334 0.5000
0.3890 0.9382 0.2500
0.6110 0.0618 0.7500
0.6666 0.6666 0.0000
0.6666 0.6666 0.5000
0.9382 0.3890 0.7500
0.1645 0.1884 0.7500
0.1884 0.1645 0.2500
0.3401 0.6599 0.0529
0.3401 0.6599 0.4471
0.6599 0.3401 0.5529
0.6599 0.3401 0.9471
0.8116 0.8355 0.7500
0.8355 0.8116 0.2500
```